# 1
TbOs3: computed powder diffraction line list (λ = 1.5418 Å (Cu Kα)), based on a structure optimized by DFT (GGA-PBE).
Kinematic intensities with the Lorentz-polarization factor, no thermal factor.

Main lines, by angle (2θ from 10° to 90°):
5.106 Å, 2θ 17.37, I 4.0
2.553 Å, 2θ 35.15, I 24.3
2.290 Å, 2θ 39.35, I 24.7
2.230 Å, 2θ 40.45, I 100.0
1.705 Å, 2θ 53.78, I 14.7
1.474 Å, 2θ 63.06, I 18.0
1.310 Å, 2θ 72.09, I 18.5
1.239 Å, 2θ 76.92, I 19.4
1.230 Å, 2θ 77.65, I 13.7
1.115 Å, 2θ 87.48, I 3.6

Structure:
```
TbOs3
1.0
5.8962 0.0000 0.0000
-2.9481 5.1062 0.0000
0.0000 0.0000 4.5796
Tb Os
2 6
Direct
0.3333 0.6667 0.2500
0.6667 0.3333 0.7500
0.1553 0.3107 0.7500
0.1553 0.8447 0.7500
0.3107 0.1553 0.2500
0.6893 0.8447 0.7500
0.8447 0.1553 0.2500
0.8447 0.6893 0.2500
```

---

# 2
ZrMoC2: computed powder diffraction line list (λ = 1.5418 Å (Cu Kα)), based on a structure optimized by DFT (GGA-PBE).
Kinematic intensities with the Lorentz-polarization factor, no thermal factor.

Main lines, by angle (2θ from 10° to 90°):
2.626 Å, 2θ 34.14, I 33.3
2.615 Å, 2θ 34.29, I 98.4
2.267 Å, 2θ 39.76, I 100.0
1.606 Å, 2θ 57.39, I 31.8
1.601 Å, 2θ 57.58, I 31.7
1.370 Å, 2θ 68.49, I 13.4
1.366 Å, 2θ 68.70, I 39.4
1.313 Å, 2θ 71.90, I 5.2
1.308 Å, 2θ 72.25, I 15.7
1.134 Å, 2θ 85.69, I 10.1

Structure:
```
ZrMoC2
1.0
1.6007 0.9242 5.2524
-1.6007 0.9242 5.2524
0.0000 -1.8484 5.2524
Zr Mo C
1 1 2
Direct
0.0000 0.0000 0.0000
0.5000 0.5000 0.5000
0.2444 0.2444 0.2444
0.7556 0.7556 0.7556
```

---

# 3
Cr3PdN: computed powder diffraction line list (λ = 1.5418 Å (Cu Kα)), based on a structure optimized by DFT (GGA-PBE).
Kinematic intensities with the Lorentz-polarization factor, no thermal factor.

Main lines, by angle (2θ from 10° to 90°):
3.840 Å, 2θ 23.16, I 7.6
2.715 Å, 2θ 32.99, I 19.1
2.217 Å, 2θ 40.70, I 100.0
1.920 Å, 2θ 47.35, I 56.7
1.717 Å, 2θ 53.35, I 4.4
1.568 Å, 2θ 58.91, I 7.1
1.358 Å, 2θ 69.20, I 32.8
1.214 Å, 2θ 78.82, I 3.1
1.158 Å, 2θ 83.50, I 32.8
1.108 Å, 2θ 88.13, I 11.2

Structure:
```
Cr3PdN
1.0
3.8399 0.0000 0.0000
0.0000 3.8399 0.0000
0.0000 0.0000 3.8399
Cr Pd N
3 1 1
Direct
0.0000 0.0000 0.5000
0.0000 0.5000 0.0000
0.5000 0.0000 0.0000
0.5000 0.5000 0.5000
0.0000 0.0000 0.0000
```

---

# 4
AcCdHg2: computed powder diffraction line list (λ = 1.5418 Å (Cu Kα)), based on a structure optimized by DFT (GGA-PBE).
Kinematic intensities with the Lorentz-polarization factor, no thermal factor.

Main lines, by angle (2θ from 10° to 90°):
4.414 Å, 2θ 20.12, I 4.4
2.703 Å, 2θ 33.14, I 100.0
2.305 Å, 2θ 39.07, I 2.7
1.911 Å, 2θ 47.57, I 18.4
1.754 Å, 2θ 52.14, I 1.3
1.561 Å, 2θ 59.20, I 38.6
1.352 Å, 2θ 69.55, I 12.0
1.292 Å, 2θ 73.24, I 1.0
1.209 Å, 2θ 79.24, I 17.0
1.104 Å, 2θ 88.62, I 4.5

Structure:
```
AcCdHg2
1.0
0.0000 3.8230 3.8230
3.8230 0.0000 3.8230
3.8230 3.8230 0.0000
Ac Cd Hg
1 1 2
Direct
0.0000 0.0000 0.0000
0.5000 0.5000 0.5000
0.2500 0.2500 0.2500
0.7500 0.7500 0.7500
```

---

# 5
MgSi2: computed powder diffraction line list (λ = 1.5418 Å (Cu Kα)), based on a structure optimized by DFT (GGA-PBE).
Kinematic intensities with the Lorentz-polarization factor, no thermal factor.

Main lines, by angle (2θ from 10° to 90°):
2.330 Å, 2θ 38.65, I 15.4
2.312 Å, 2θ 38.96, I 31.8
2.304 Å, 2θ 39.10, I 40.5
2.292 Å, 2θ 39.32, I 15.3
2.282 Å, 2θ 39.48, I 66.0
2.269 Å, 2θ 39.73, I 50.4
2.252 Å, 2θ 40.04, I 100.0
1.638 Å, 2θ 56.16, I 14.2
1.313 Å, 2θ 71.93, I 14.4
1.310 Å, 2θ 72.11, I 14.1

Structure:
```
MgSi2
1.0
4.5653 0.0000 0.0000
2.2400 4.7582 0.0000
2.1090 1.7893 9.2460
Mg Si
4 8
Direct
0.0000 0.0000 0.0000
0.0782 0.5405 0.2723
0.2685 0.7031 0.7554
0.5081 0.4722 0.4931
0.2010 0.0795 0.4879
0.3208 0.3486 0.0160
0.4369 0.9008 0.2004
0.5611 0.0764 0.8021
0.7073 0.5918 0.0040
0.7870 0.1129 0.2954
0.7967 0.8420 0.5521
0.9823 0.3358 0.6933
```

---

# 6
CeSe2: computed powder diffraction line list (λ = 1.5418 Å (Cu Kα)), based on a structure optimized by DFT (GGA-PBE).
Kinematic intensities with the Lorentz-polarization factor, no thermal factor.

Main lines, by angle (2θ from 10° to 90°):
4.694 Å, 2θ 18.90, I 100.0
3.679 Å, 2θ 24.19, I 29.5
3.218 Å, 2θ 27.72, I 60.7
2.969 Å, 2θ 30.10, I 24.6
2.465 Å, 2θ 36.45, I 98.2
2.347 Å, 2θ 38.35, I 33.8
2.210 Å, 2θ 40.83, I 24.2
2.000 Å, 2θ 45.35, I 20.4
1.979 Å, 2θ 45.86, I 60.6
1.609 Å, 2θ 57.24, I 29.3

Structure:
```
CeSe2
1.0
-6.6390 6.6390 4.4204
6.6390 -6.6390 4.4204
6.6390 6.6390 -4.4204
Ce Se
8 16
Direct
0.2453 0.4992 0.2478
0.2469 0.0031 0.2501
0.2492 0.5014 0.7539
0.2514 0.9975 0.7522
0.7475 0.4953 0.2461
0.7469 0.4969 0.7438
0.7531 0.0031 0.2562
0.7531 0.9969 0.7499
0.0915 0.8425 0.9417
0.0952 0.6559 0.2462
0.0986 0.3512 0.4453
0.1012 0.1559 0.7527
0.3991 0.1502 0.5567
0.4033 0.3486 0.2473
0.4059 0.6597 0.0607
0.4097 0.8490 0.7538
0.5924 0.6491 0.7490
0.5925 0.1508 0.2510
0.5935 0.8424 0.4433
0.5990 0.3452 0.9393
0.8998 0.3415 0.7490
0.9002 0.8435 0.2510
0.9008 0.1498 0.0583
0.9059 0.6533 0.5547
```

---

# 7
PdPb4Au: computed powder diffraction line list (λ = 1.5418 Å (Cu Kα)), based on a structure optimized by DFT (GGA-PBE).
Kinematic intensities with the Lorentz-polarization factor, no thermal factor.

Main lines, by angle (2θ from 10° to 90°):
2.826 Å, 2θ 31.66, I 100.0
2.531 Å, 2θ 35.47, I 27.6
2.285 Å, 2θ 39.43, I 38.7
2.268 Å, 2θ 39.74, I 28.7
1.678 Å, 2θ 54.69, I 15.6
1.665 Å, 2θ 55.17, I 21.6
1.535 Å, 2θ 60.28, I 14.4
1.470 Å, 2θ 63.24, I 21.9
1.308 Å, 2θ 72.25, I 12.8
1.228 Å, 2θ 77.74, I 11.1

Structure:
```
PdPb4Au
1.0
-3.6131 3.6131 2.9136
3.6131 -3.6131 2.9136
3.6131 3.6131 -2.9136
Pd Pb Au
1 4 1
Direct
0.0000 0.0000 0.0000
0.0907 0.5907 0.1815
0.4093 0.9093 0.8185
0.5907 0.4093 0.5000
0.9093 0.0907 0.5000
0.5000 0.5000 0.0000
```